# 1
FeCl3: simulated powder diffractogram (a wavelength of 1.5418 Å), based on a PBE-relaxed structure.

```
data_FeCl3
_cell_length_a 5.9697
_cell_length_b 5.9697
_cell_length_c 19.4761
_cell_angle_alpha 90.00
_cell_angle_beta 90.00
_cell_angle_gamma 120.00
_space_group_name_H-M_alt 'P 3 1 2'
_space_group_IT_number 149
loop_
_space_group_symop_operation_xyz
'x,y,z'
'-y,x-y,z'
'-x+y,-x,z'
'-y,-x,-z'
'-x+y,y,-z'
'x,x-y,-z'
loop_
_atom_site_label
_atom_site_fract_x
_atom_site_fract_y
_atom_site_fract_z
Fe1 0.0000 0.0000 0.0000
Fe2 0.0000 0.0000 0.3315
Fe3 0.3333 0.6667 0.3316
Fe4 0.6667 0.3333 0.0000
Cl1 0.0379 0.3333 0.6029
Cl2 0.0397 0.3334 0.2664
Cl3 0.3334 0.0192 0.9279
```

Largest 10 diffraction maxima, most intense first, 15 to 90 degrees two-theta:
2θ (°)	I/Imax
33.03	100.0
41.08	71.8
52.21	32.8
53.15	28.2
17.75	27.5
19.44	20.6
17.15	19.1
55.14	16.4
21.98	12.6
69.30	11.0

# 2
Nd2Er2In3: simulated powder diffractogram (a wavelength of 1.5418 Å), based on a PBE-relaxed structure.

```
data_Nd2Er2In3
_cell_length_a 4.626
_cell_length_b 24.895
_cell_length_c 3.467
_cell_angle_alpha 90.00
_cell_angle_beta 90.00
_cell_angle_gamma 90.00
_space_group_name_H-M_alt 'C m m m'
_space_group_IT_number 65
_space_group_name_Hall '-C 2 2'
loop_
_atom_site_label
_atom_site_fract_x
_atom_site_fract_y
_atom_site_fract_z
Nd1 0.000 0.072 0.000
Er1 0.000 0.204 0.000
In1 0.000 0.350 0.500
In2 0.000 0.500 0.500
```

Largest 10 diffraction maxima, most intense first, 15 to 90 degrees two-theta:
2θ (°)	I/Imax
31.74	100.0
32.47	81.9
38.92	61.9
62.94	27.6
33.69	26.5
56.21	20.5
34.08	17.2
52.42	14.8
65.54	13.5
52.81	13.0

# 3
Pm3GaAg2: simulated powder diffractogram (a wavelength of 1.5418 Å), based on a PBE-relaxed structure.

```
data_Pm3GaAg2
_cell_length_a 5.2335
_cell_length_b 5.2335
_cell_length_c 6.4778
_cell_angle_alpha 90.00
_cell_angle_beta 90.00
_cell_angle_gamma 120.00
_space_group_name_H-M_alt 'P -3 m 1'
_space_group_IT_number 164
_space_group_name_Hall '-P 3 2"'
loop_
_atom_site_label
_atom_site_fract_x
_atom_site_fract_y
_atom_site_fract_z
Pm1 0.0000 0.0000 0.0000
Pm2 0.3333 0.6667 0.6652
Ga1 0.0000 0.0000 0.5000
Ag1 0.3333 0.6667 0.1748
```

Largest 10 diffraction maxima, most intense first, 15 to 90 degrees two-theta:
2θ (°)	I/Imax
34.02	100.0
34.27	98.3
61.21	35.7
49.06	35.1
60.73	18.2
61.36	17.7
81.85	15.5
82.27	15.3
71.62	11.1
72.20	10.9

# 4
Sn3Ir2S3: simulated powder diffractogram (a wavelength of 1.5418 Å), based on a PBE-relaxed structure.

```
data_Sn3Ir2S3
_cell_length_a 12.4558
_cell_length_b 12.4558
_cell_length_c 15.2922
_cell_angle_alpha 90.00
_cell_angle_beta 90.00
_cell_angle_gamma 120.00
_space_group_name_H-M_alt 'R -3'
_space_group_IT_number 148
_space_group_name_Hall '-R 3'
loop_
_atom_site_label
_atom_site_fract_x
_atom_site_fract_y
_atom_site_fract_z
Sn1 0.0162 0.8395 0.3390
Sn2 0.0581 0.4574 0.6032
Ir1 0.0000 0.0000 0.2401
Ir2 0.9996 0.4975 0.7594
S1 0.0168 0.8356 0.8350
S2 0.0521 0.4511 0.1006
```

Largest 10 diffraction maxima, most intense first, 15 to 90 degrees two-theta:
2θ (°)	I/Imax
46.05	100.0
20.15	91.9
32.11	68.2
28.65	59.0
50.73	48.4
35.27	29.1
38.20	21.4
30.44	20.9
67.17	20.1
33.71	19.0

# 5
NdEu2P: simulated powder diffractogram (a wavelength of 1.5418 Å), based on a PBE-relaxed structure.

```
data_NdEu2P
_cell_length_a 3.9313
_cell_length_b 3.9313
_cell_length_c 32.0248
_cell_angle_alpha 90.00
_cell_angle_beta 90.00
_cell_angle_gamma 120.00
_space_group_name_H-M_alt 'R -3 m'
_space_group_IT_number 166
_space_group_name_Hall '-R 3 2"'
loop_
_atom_site_label
_atom_site_fract_x
_atom_site_fract_y
_atom_site_fract_z
Nd1 0.0000 0.0000 0.0000
Eu1 0.0000 0.0000 0.1133
P1 0.0000 0.0000 0.5000
```

Largest 10 diffraction maxima, most intense first, 15 to 90 degrees two-theta:
2θ (°)	I/Imax
26.32	100.0
34.59	77.1
25.03	55.1
38.60	44.7
53.24	42.7
46.18	42.7
26.77	39.9
71.53	22.3
32.79	18.3
29.72	17.2

# 6
LaPm5Ho3: simulated powder diffractogram (a wavelength of 1.5418 Å), based on a PBE-relaxed structure.

```
data_LaPm5Ho3
_cell_length_a 17.700
_cell_length_b 9.403
_cell_length_c 7.305
_cell_angle_alpha 90.00
_cell_angle_beta 90.00
_cell_angle_gamma 90.00
_space_group_name_H-M_alt 'C m c m'
_space_group_IT_number 63
_space_group_name_Hall '-C 2c 2'
loop_
_atom_site_label
_atom_site_fract_x
_atom_site_fract_y
_atom_site_fract_z
La1 0.000 0.197 0.250
Pm1 0.000 0.165 0.750
Pm2 0.166 0.176 0.000
Ho1 0.000 0.500 0.000
Ho2 0.178 0.500 0.250
```

Largest 10 diffraction maxima, most intense first, 15 to 90 degrees two-theta:
2θ (°)	I/Imax
30.31	100.0
32.65	35.2
28.93	35.0
38.35	20.8
37.21	17.7
57.27	17.4
52.10	11.5
59.53	11.0
53.83	11.0
49.94	9.9

# 7
Dy2FeSiC: simulated powder diffractogram (a wavelength of 1.5418 Å), based on a PBE-relaxed structure.

```
data_Dy2FeSiC
_cell_length_a 3.693
_cell_length_b 3.693
_cell_length_c 12.838
_cell_angle_alpha 90.00
_cell_angle_beta 90.00
_cell_angle_gamma 90.00
_space_group_name_H-M_alt 'P 4/n m m'
_space_group_IT_number 129
loop_
_space_group_symop_operation_xyz
'x,y,z'
'-x,-y,-z'
'-y+1/2,x,z'
'y+1/2,-x,-z'
'-x+1/2,-y+1/2,z'
'x+1/2,y+1/2,-z'
'y,-x+1/2,z'
'-y,x+1/2,-z'
'x+1/2,-y,-z'
'-x+1/2,y,z'
'-y,-x,-z'
'y,x,z'
'-x,y+1/2,-z'
'x,-y+1/2,z'
'y+1/2,x+1/2,-z'
'-y+1/2,-x+1/2,z'
loop_
_atom_site_label
_atom_site_fract_x
_atom_site_fract_y
_atom_site_fract_z
Dy1 0.250 0.250 0.092
Dy2 0.250 0.250 0.710
Fe1 0.250 0.750 0.500
Si1 0.250 0.250 0.387
C1 0.250 0.250 0.896
```

Largest 10 diffraction maxima, most intense first, 15 to 90 degrees two-theta:
2θ (°)	I/Imax
32.01	100.0
27.87	57.9
34.34	44.9
60.04	33.8
49.35	30.9
34.95	29.4
61.89	23.9
49.80	19.2
35.07	18.5
57.63	16.2

# 8
AcSm2IrN4: simulated powder diffractogram (a wavelength of 1.5418 Å), based on a PBE-relaxed structure.

```
data_AcSm2IrN4
_cell_length_a 3.541
_cell_length_b 12.247
_cell_length_c 11.934
_cell_angle_alpha 90.00
_cell_angle_beta 90.00
_cell_angle_gamma 90.00
_space_group_name_H-M_alt 'C m c m'
_space_group_IT_number 63
_space_group_name_Hall '-C 2c 2'
loop_
_atom_site_label
_atom_site_fract_x
_atom_site_fract_y
_atom_site_fract_z
Ac1 0.000 0.106 0.250
Sm1 0.000 0.369 0.045
Ir1 0.000 0.155 0.750
N1 0.000 0.000 0.000
N2 0.000 0.271 0.627
N3 0.000 0.437 0.250
```

Largest 10 diffraction maxima, most intense first, 15 to 90 degrees two-theta:
2θ (°)	I/Imax
30.24	100.0
36.82	79.5
29.17	53.3
29.95	41.2
42.30	25.1
34.35	23.1
26.72	23.0
47.64	18.7
60.41	18.3
51.62	18.0

# 9
Li7HoSn4: simulated powder diffractogram (a wavelength of 1.5418 Å), based on a PBE-relaxed structure.

```
data_Li7HoSn4
_cell_length_a 12.857
_cell_length_b 4.987
_cell_length_c 9.957
_cell_angle_alpha 90.00
_cell_angle_beta 125.51
_cell_angle_gamma 90.00
_space_group_name_H-M_alt 'C 1 2/m 1'
_space_group_IT_number 12
loop_
_space_group_symop_operation_xyz
'x,y,z'
'-x,-y,-z'
'-x,y,-z'
'x,-y,z'
'x+1/2,y+1/2,z'
'-x+1/2,-y+1/2,-z'
'-x+1/2,y+1/2,-z'
'x+1/2,-y+1/2,z'
loop_
_atom_site_label
_atom_site_fract_x
_atom_site_fract_y
_atom_site_fract_z
Li1 0.000 0.000 0.000
Li2 0.076 0.500 0.374
Li3 0.162 0.000 0.593
Li4 0.214 0.500 0.875
Ho1 0.000 0.500 0.000
Sn1 0.072 0.000 0.796
Sn2 0.190 0.000 0.311
```

Largest 10 diffraction maxima, most intense first, 15 to 90 degrees two-theta:
2θ (°)	I/Imax
25.64	100.0
41.94	37.3
27.71	34.5
36.02	27.8
30.81	21.6
31.29	18.8
37.13	18.8
58.73	17.2
48.13	17.1
24.91	16.8

# 10
PrTiSe2O: simulated powder diffractogram (a wavelength of 1.5418 Å), based on a PBE-relaxed structure.

```
data_PrTiSe2O
_cell_length_a 3.902
_cell_length_b 3.902
_cell_length_c 13.658
_cell_angle_alpha 90.00
_cell_angle_beta 90.00
_cell_angle_gamma 90.00
_space_group_name_H-M_alt 'P 4/n m m'
_space_group_IT_number 129
loop_
_space_group_symop_operation_xyz
'x,y,z'
'-x,-y,-z'
'-y+1/2,x,z'
'y+1/2,-x,-z'
'-x+1/2,-y+1/2,z'
'x+1/2,y+1/2,-z'
'y,-x+1/2,z'
'-y,x+1/2,-z'
'x+1/2,-y,-z'
'-x+1/2,y,z'
'-y,-x,-z'
'y,x,z'
'-x,y+1/2,-z'
'x,-y+1/2,z'
'y+1/2,x+1/2,-z'
'-y+1/2,-x+1/2,z'
loop_
_atom_site_label
_atom_site_fract_x
_atom_site_fract_y
_atom_site_fract_z
Pr1 0.250 0.250 0.094
Ti1 0.250 0.250 0.600
Se1 0.250 0.250 0.407
Se2 0.250 0.250 0.779
O1 0.250 0.750 0.000
```

Largest 10 diffraction maxima, most intense first, 15 to 90 degrees two-theta:
2θ (°)	I/Imax
30.17	100.0
32.45	78.7
46.56	34.8
56.48	34.2
52.09	31.9
34.92	18.0
42.11	15.6
62.73	14.8
39.59	14.4
26.31	13.8

# 11
Ac4RhAu2Br: simulated powder diffractogram (a wavelength of 1.5418 Å), based on a PBE-relaxed structure.

```
data_Ac4RhAu2Br
_cell_length_a 7.727
_cell_length_b 4.487
_cell_length_c 8.074
_cell_angle_alpha 90.00
_cell_angle_beta 108.46
_cell_angle_gamma 90.00
_space_group_name_H-M_alt 'P 1 2/m 1'
_space_group_IT_number 10
loop_
_space_group_symop_operation_xyz
'x,y,z'
'-x,-y,-z'
'-x,y,-z'
'x,-y,z'
loop_
_atom_site_label
_atom_site_fract_x
_atom_site_fract_y
_atom_site_fract_z
Ac1 0.237 0.000 0.219
Ac2 0.251 0.500 0.780
Rh1 0.000 0.500 0.000
Au1 0.500 0.000 0.000
Au2 0.500 0.500 0.500
Br1 0.000 0.000 0.500
```

Largest 10 diffraction maxima, most intense first, 15 to 90 degrees two-theta:
2θ (°)	I/Imax
27.73	100.0
39.04	53.9
27.86	48.4
40.38	38.2
49.61	25.7
40.20	19.5
57.27	14.7
65.62	10.5
49.76	10.3
47.49	9.4

# 12
Nb4GaS: simulated powder diffractogram (a wavelength of 1.5418 Å), based on a PBE-relaxed structure.

```
data_Nb4GaS
_cell_length_a 6.968
_cell_length_b 12.717
_cell_length_c 5.501
_cell_angle_alpha 90.00
_cell_angle_beta 117.42
_cell_angle_gamma 90.00
_space_group_name_H-M_alt 'C 1 2/c 1'
_space_group_IT_number 15
loop_
_space_group_symop_operation_xyz
'x,y,z'
'-x,-y,-z'
'-x,y,-z+1/2'
'x,-y,z+1/2'
'x+1/2,y+1/2,z'
'-x+1/2,-y+1/2,-z'
'-x+1/2,y+1/2,-z+1/2'
'x+1/2,-y+1/2,z+1/2'
loop_
_atom_site_label
_atom_site_fract_x
_atom_site_fract_y
_atom_site_fract_z
Nb1 0.108 0.223 0.094
Nb2 0.209 0.431 0.284
Ga1 0.000 0.385 0.750
S1 0.000 0.051 0.250
```

Largest 10 diffraction maxima, most intense first, 15 to 90 degrees two-theta:
2θ (°)	I/Imax
39.50	100.0
38.67	53.8
33.64	43.1
43.62	43.0
29.66	36.9
28.90	34.3
35.25	32.3
38.26	30.8
33.42	28.5
42.66	24.7

# 13
Cu3SbSe4: simulated powder diffractogram (a wavelength of 1.5418 Å), based on a PBE-relaxed structure.

```
data_Cu3SbSe4
_cell_length_a 5.729
_cell_length_b 5.729
_cell_length_c 11.396
_cell_angle_alpha 90.00
_cell_angle_beta 90.00
_cell_angle_gamma 90.00
_space_group_name_H-M_alt 'I -4 2 m'
_space_group_IT_number 121
_space_group_name_Hall 'I -4 2'
loop_
_atom_site_label
_atom_site_fract_x
_atom_site_fract_y
_atom_site_fract_z
Cu1 0.000 0.000 0.000
Cu2 0.000 0.500 0.250
Sb1 0.000 0.000 0.500
Se1 0.233 0.233 0.866
```

Largest 10 diffraction maxima, most intense first, 15 to 90 degrees two-theta:
2θ (°)	I/Imax
27.01	100.0
44.87	47.6
53.04	28.3
44.74	24.1
82.57	13.9
53.27	13.9
72.04	10.2
65.13	7.2
82.85	6.8
88.75	5.8